Simulated powder X-ray diffraction pattern
Compound: Eu2ZnSb2
Radiation: Cu Kα (λ = 1.5418 Å)
Structure: a DFT-relaxed cell (PBE, the Materials Project)
No peak broadening, texture or thermal motion is included.

Peak list (6 most intense, 10 to 90 degrees two-theta, in order of rising 2θ)
d 3.625, 24.6 deg, rel. 25; d 2.869, 31.2 deg, rel. 100; d 2.338, 38.5 deg, rel. 53; d 1.812, 50.4 deg, rel. 26; d 1.534, 60.3 deg, rel. 23; d 1.432, 65.1 deg, rel. 24

Atomic structure:
```
Eu2ZnSb2
1.0
4.675 0.000 0.000
-2.338 4.049 0.000
0.000 0.000 8.134
Eu Zn Sb
2 1 2
direct
0.000 0.000 0.226
0.000 0.000 0.774
0.333 0.667 0.500
0.333 0.667 0.000
0.667 0.333 0.500
```

---

Simulated powder X-ray diffraction pattern
Compound: EuSc2Se4
Radiation: Cu Kα (λ = 1.5418 Å)
Structure: a DFT-relaxed cell (PBE, the Materials Project)
No peak broadening, texture or thermal motion is included.

Peak list (6 most intense, 10 to 90 degrees two-theta, in order of rising 2θ)
d 2.912, 30.7 deg, rel. 30; d 2.823, 31.7 deg, rel. 100; d 2.644, 33.9 deg, rel. 94; d 2.319, 38.8 deg, rel. 41; d 2.257, 40.0 deg, rel. 34; d 1.892, 48.1 deg, rel. 32

Atomic structure:
```
EuSc2Se4
1.0
11.490 0.000 0.000
0.000 3.784 0.000
0.000 0.000 13.687
Eu Sc Se
4 8 16
direct
0.238 0.250 0.168
0.262 0.750 0.668
0.738 0.250 0.332
0.762 0.750 0.832
0.059 0.250 0.389
0.084 0.250 0.903
0.416 0.750 0.403
0.441 0.750 0.889
0.559 0.250 0.111
0.584 0.250 0.597
0.916 0.750 0.097
0.941 0.750 0.611
0.028 0.750 0.784
0.095 0.250 0.577
0.129 0.750 0.031
0.204 0.750 0.337
0.296 0.250 0.837
0.371 0.250 0.531
0.405 0.750 0.077
0.472 0.250 0.284
0.528 0.750 0.716
0.595 0.250 0.923
0.629 0.750 0.469
0.704 0.750 0.163
0.796 0.250 0.663
0.871 0.250 0.969
0.905 0.750 0.423
0.972 0.250 0.216
```

---

Simulated powder X-ray diffraction pattern
Compound: Eu2Se3
Radiation: Cu Kα (λ = 1.5418 Å)
Structure: a DFT-relaxed cell (PBE, the Materials Project)
No peak broadening, texture or thermal motion is included.

Peak list (6 most intense, 10 to 90 degrees two-theta, in order of rising 2θ)
d 6.714, 13.2 deg, rel. 34; d 3.019, 29.6 deg, rel. 100; d 2.133, 42.4 deg, rel. 61; d 1.747, 52.4 deg, rel. 13; d 1.739, 52.6 deg, rel. 13; d 1.348, 69.8 deg, rel. 16

Atomic structure:
```
Eu2Se3
1.0
0.000 6.027 12.866
4.258 0.000 12.866
4.258 6.027 0.000
Eu Se
8 12
direct
0.040 0.040 0.210
0.129 0.129 0.621
0.210 0.210 0.040
0.379 0.379 0.871
0.621 0.621 0.129
0.790 0.790 0.960
0.871 0.871 0.379
0.960 0.960 0.790
0.050 0.539 0.184
0.107 0.643 0.643
0.184 0.726 0.050
0.274 0.816 0.461
0.357 0.893 0.893
0.461 0.950 0.274
0.539 0.050 0.726
0.643 0.107 0.107
0.726 0.184 0.539
0.816 0.274 0.950
0.893 0.357 0.357
0.950 0.461 0.816
```